Structure and calculated powder diffractogram of Li4Mn3O7 (the GGA+U geometry in the Materials Project; Cu Ka).
Kinematic intensities with the Lorentz-polarization factor, no thermal factor.

Largest 8 diffraction maxima, in order of rising 2θ, 2θ from 10° to 80°:
18.3°, rel. 1000
34.0°, rel. 172
36.0°, rel. 118
36.4°, rel. 118
40.8°, rel. 339
44.0°, rel. 283
44.4°, rel. 275
61.8°, rel. 158

Atomic structure:
```
Li4Mn3O7
1.0
5.099 0.000 0.000
1.723 5.570 0.000
1.451 -0.438 9.165
Li Mn O
8 6 14
Cartesian
0.000 0.000 0.000
0.862 2.785 0.000
2.119 0.868 6.600
3.602 4.991 3.788
3.419 3.528 1.203
4.854 1.604 7.962
4.672 0.141 5.377
6.154 4.263 2.565
3.048 3.660 6.662
2.792 2.197 3.903
2.610 0.747 1.217
5.663 4.385 7.948
5.481 2.934 5.261
5.225 1.471 2.503
1.217 1.273 4.619
1.750 2.388 1.881
2.728 5.418 1.971
4.121 3.452 8.491
3.252 0.482 8.628
3.866 2.026 5.894
4.762 4.595 6.118
3.511 0.536 3.046
4.407 3.106 3.271
5.021 4.649 0.536
4.152 1.680 0.674
5.545 -0.287 7.194
6.523 2.743 7.284
7.056 3.858 4.546
```

---

Structure and calculated powder diffractogram of Li4Mn7O16 (the GGA+U geometry in the Materials Project; Cu Ka).
Kinematic intensities with the Lorentz-polarization factor, no thermal factor.

Largest 8 diffraction maxima, in order of rising 2θ, 2θ from 10° to 80°:
17.9°, rel. 1000
36.5°, rel. 95
36.6°, rel. 191
43.6°, rel. 189
43.8°, rel. 381
57.1°, rel. 97
62.4°, rel. 97
64.7°, rel. 98

Atomic structure:
```
Li4Mn7O16
1.0
4.996 -5.747 0.000
4.996 5.747 0.000
-1.681 0.000 4.943
Li Mn O
4 7 16
Cartesian
4.996 4.289 0.000
0.849 0.000 4.904
7.461 0.000 0.039
4.996 -4.289 0.000
1.602 1.420 2.496
4.155 2.930 2.472
1.602 -1.420 2.496
4.155 0.000 2.472
6.709 1.420 2.448
4.155 -2.930 2.472
6.709 -1.420 2.448
3.259 4.203 1.401
2.513 2.930 3.481
1.011 0.000 1.359
3.308 1.410 1.502
5.052 4.203 3.543
2.453 0.000 3.503
5.798 2.930 1.463
5.003 1.410 3.441
3.308 -1.410 1.502
2.513 -2.930 3.481
5.858 0.000 1.440
3.259 -4.203 1.401
5.003 -1.410 3.441
7.300 0.000 3.584
5.798 -2.930 1.463
5.052 -4.203 3.543
```